Entry 1:
Theoretical powder X-ray diffraction pattern
Compound: Sr2YMgTlCu2O7
Radiation: Cu Kα, 1.54184 Å
Structure: a PBE-relaxed structure

Crystal structure
```
data_Sr2YMgTlCu2O7
_chemical_formula_sum 'Sr4 Y2 Mg2 Tl2 Cu4 O14'
_cell_length_a 11.9511
_cell_length_b 5.7886
_cell_length_c 6.2260
_cell_angle_alpha 90.00
_cell_angle_beta 90.00
_cell_angle_gamma 90.00
_space_group_name_H-M_alt 'A m m 2'
_space_group_IT_number 38
loop_
_space_group_symop_operation_xyz
'x,y,z'
'-x,-y,z'
'-x,y,z'
'x,-y,z'
'x,y+1/2,z+1/2'
'-x,-y+1/2,z+1/2'
'-x,y+1/2,z+1/2'
'x,-y+1/2,z+1/2'
loop_
_atom_site_label
_atom_site_fract_x
_atom_site_fract_y
_atom_site_fract_z
Sr1 0.2089 0.0000 0.0000
Y1 0.5000 0.0000 0.7706
Mg1 0.5000 0.0000 0.2295
Tl1 0.0000 0.0000 0.5417
Cu1 0.2995 0.0000 0.5052
O1 0.0000 0.0000 0.8932
O2 0.1596 0.0000 0.3727
O3 0.3916 0.2363 0.0933
```

The 8 most intense peaks (2θ from 5° to 70°), sorted by position:
(hkl)  2theta  I/Imax
2 1 1  25.77  33.3
0 0 2  28.68  20.5
1 0 2  29.66  15.8
0 2 0  30.83  100.0
1 2 2  43.35  17.0
4 2 0  43.53  20.7
3 1 3  52.15  16.5
7 1 1  58.23  21.4

---

Entry 2:
Theoretical powder X-ray diffraction pattern
Compound: Zr5CdSb2
Radiation: Cu Kα, 1.54184 Å
Structure: a PBE-relaxed structure

Crystal structure
```
data_Zr5CdSb2
_chemical_formula_sum 'Zr20 Cd4 Sb8'
_cell_length_a 11.2761
_cell_length_b 11.2761
_cell_length_c 5.6216
_cell_angle_alpha 90.00
_cell_angle_beta 90.00
_cell_angle_gamma 90.00
_space_group_name_H-M_alt 'I 4/m c m'
_space_group_IT_number 140
_space_group_name_Hall '-I 4 2c'
loop_
_atom_site_label
_atom_site_fract_x
_atom_site_fract_y
_atom_site_fract_z
Zr1 0.0000 0.5000 0.2500
Zr2 0.0779 0.2247 0.0000
Cd1 0.0000 0.0000 0.2500
Sb1 0.1639 0.3361 0.5000
```

The 8 most intense peaks (2θ from 5° to 70°), sorted by position:
(hkl)  2theta  I/Imax
0 0 2  31.82  21.6
3 2 1  32.77  32.2
4 2 0  35.65  100.0
4 1 1  36.54  86.8
2 2 2  39.22  28.3
5 2 1  46.27  19.9
4 1 3  59.83  20.0
6 4 2  68.67  23.7

---

Entry 3:
Theoretical powder X-ray diffraction pattern
Compound: NdCuSe2
Radiation: Cu Kα, 1.54184 Å
Structure: a PBE-relaxed structure

Crystal structure
```
data_NdCuSe2
_chemical_formula_sum 'Nd4 Cu4 Se8'
_cell_length_a 6.7450
_cell_length_b 7.5093
_cell_length_c 7.2199
_cell_angle_alpha 90.00
_cell_angle_beta 96.53
_cell_angle_gamma 90.00
_space_group_name_H-M_alt 'P 1 21/c 1'
_space_group_IT_number 14
loop_
_space_group_symop_operation_xyz
'x,y,z'
'-x,-y,-z'
'-x,y+1/2,-z+1/2'
'x,-y+1/2,z+1/2'
loop_
_atom_site_label
_atom_site_fract_x
_atom_site_fract_y
_atom_site_fract_z
Nd1 0.1934 0.0453 0.2994
Cu1 0.4311 0.6604 0.4539
Se1 0.0814 0.7235 0.4976
Se2 0.4022 0.1120 0.7209
```

The 8 most intense peaks (2θ from 5° to 70°), sorted by position:
(hkl)  2theta  I/Imax
1 1 1  22.52  60.3
1 2 -1  29.35  62.9
2 1 -1  30.55  100.0
1 1 2  31.92  57.9
0 2 2  34.58  80.1
1 3 0  38.39  36.6
0 1 3  39.56  36.8
1 4 0  50.44  34.4